Diffraction record for NdHo2Au. The powder X-ray diffraction pattern is theoretical, not measured: it uses the GGA-PBE geometry in Alexandria and a wavelength of 1.5418 Å.
Lines closer than 0.1° are merged.

Top 10 peaks for 2θ from 15° to 90°, in order of rising 2θ:
2θ (°)	I_rel	h k l
28.6	24	1 3 0
30.2	100	1 1 2
30.9	50	1 3 1
31.8	39	0 4 1
36.3	49	2 0 0
36.9	46	1 3 2
37.7	36	0 4 2
40.0	32	1 1 3
49.1	23	2 4 1
53.4	26	2 4 2

Structural model:
```
data_NdHo2Au
_space_group_name_H-M_alt 'C m c m'
_space_group_IT_number 63
_space_group_name_Hall '-C 2c 2'
_cell_length_a 4.944
_cell_length_b 12.069
_cell_length_c 7.775
_cell_angle_alpha 90.00
_cell_angle_beta 90.00
_cell_angle_gamma 90.00
loop_
_atom_site_label
_atom_site_type_symbol
_atom_site_fract_x
_atom_site_fract_y
_atom_site_fract_z
_atom_site_occupancy
Nd1 Nd 0.000 0.048 0.250 1
Ho1 Ho 0.000 0.354 0.035 1
Au1 Au 0.000 0.205 0.750 1
```

Diffraction record for Mn5InRh6. The powder X-ray diffraction pattern is theoretical, not measured: it uses the GGA-PBE geometry in Alexandria and a wavelength of 1.5418 Å.
Lines closer than 0.1° are merged.

Top 10 peaks for 2θ from 15° to 90°, in order of rising 2θ:
2θ (°)	I_rel	h k l
25.1	1	1 1 0
28.6	1	1 1 2
29.1	7	1 0 3
37.5	1	1 1 4
41.6	100	2 0 0
44.8	1	0 3 1
51.5	2	2 2 0
60.3	16	2 0 6
68.3	3	3 0 3
75.9	31	3 2 3

Structural model:
```
data_Mn5InRh6
_space_group_name_H-M_alt 'I m m m'
_space_group_IT_number 71
_space_group_name_Hall '-I 2 2'
_cell_length_a 4.347
_cell_length_b 6.144
_cell_length_c 13.026
_cell_angle_alpha 90.00
_cell_angle_beta 90.00
_cell_angle_gamma 90.00
loop_
_atom_site_label
_atom_site_type_symbol
_atom_site_fract_x
_atom_site_fract_y
_atom_site_fract_z
_atom_site_occupancy
Mn1 Mn 0.000 0.000 0.000 1
Mn2 Mn 0.000 0.000 0.335 1
Mn3 Mn 0.000 0.500 0.333 1
In1 In 0.000 0.500 0.000 1
Rh1 Rh 0.000 0.243 0.171 1
Rh2 Rh 0.000 0.264 0.500 1
```

Diffraction record for Nb3VMo3. The powder X-ray diffraction pattern is theoretical, not measured: it uses the GGA-PBE geometry in Alexandria and a wavelength of 1.5418 Å.
Lines closer than 0.1° are merged.

Top 10 peaks for 2θ from 15° to 90°, in order of rising 2θ:
2θ (°)	I_rel	h k l
20.0	14	0 0 2
35.1	11	2 0 -2
35.3	9	2 2 0
40.6	24	0 0 4
40.7	22	0 4 0
40.9	100	2 2 2
58.8	11	0 4 4
59.5	9	4 0 0
74.2	10	2 6 2
74.6	11	4 0 4

Structural model:
```
data_Nb3VMo3
_space_group_name_H-M_alt 'C 1 2/m 1'
_space_group_IT_number 12
_cell_length_a 6.216
_cell_length_b 8.863
_cell_length_c 8.894
_cell_angle_alpha 90.00
_cell_angle_beta 90.12
_cell_angle_gamma 90.00
loop_
_space_group_symop_operation_xyz
'x,y,z'
'-x,-y,-z'
'-x,y,-z'
'x,-y,z'
'x+1/2,y+1/2,z'
'-x+1/2,-y+1/2,-z'
'-x+1/2,y+1/2,-z'
'x+1/2,-y+1/2,z'
loop_
_atom_site_label
_atom_site_type_symbol
_atom_site_fract_x
_atom_site_fract_y
_atom_site_fract_z
_atom_site_occupancy
Nb1 Nb 0.000 0.000 0.203 1
Nb2 Nb 0.000 0.240 0.500 1
Nb3 Nb 0.000 0.307 0.000 1
V1 V 0.244 0.500 0.500 1
Mo1 Mo 0.000 0.500 0.259 1
Mo2 Mo 0.250 0.250 0.245 1
```